Starting from DFT lattice parameters and positions (GGA+U), the X-ray powder pattern of Mg6CoBiO8 was computed for CuKα.
Intensities are scaled so that the largest is 100.

Main lines, most intense first (2θ from 10° to 80°):
2θ (°)  I_rel
40.32  100
19.85  96
28.21  82
58.34  60
34.73  55
45.33  47
22.22  40
49.94  38

Structure:
```
16
Lattice="4.4729 0.0000 0.0000 0.0000 4.4729 0.0000 0.0000 0.0000 8.9501" Properties=species:S:1:pos:R:3 pbc="T T T"
Mg 0.0000 0.0000 0.0000
Mg 0.0000 0.0000 4.4751
Mg 0.0000 2.2365 2.0011
Mg 0.0000 2.2365 6.9490
Mg 2.2365 0.0000 2.0011
Mg 2.2365 0.0000 6.9490
Co 2.2365 2.2365 0.0000
Bi 2.2365 2.2365 4.4751
O 0.0000 0.0000 2.2441
O 0.0000 0.0000 6.7060
O 0.0000 2.2365 0.0000
O 0.0000 2.2365 4.4751
O 2.2365 0.0000 0.0000
O 2.2365 0.0000 4.4751
O 2.2365 2.2365 2.1616
O 2.2365 2.2365 6.7885
```



Starting from DFT lattice parameters and positions (GGA+U), the X-ray powder pattern of Co3BiO8 was computed for CuKα.
Intensities are scaled so that the largest is 100.

Main lines, most intense first (2θ from 10° to 80°):
2θ (°)  I_rel
18.43  100
35.66  30
37.36  27
23.83  21
26.18  20
35.81  15
43.26  14
43.39  14

Structure:
```
48
Lattice="8.3084 0.0000 0.0000 0.0000 8.3658 0.0000 -0.0011 0.0000 8.3411" Properties=species:S:1:pos:R:3 pbc="T T T"
Co 0.8424 0.0000 3.1084
Co 1.0443 6.2921 5.0453
Co 1.2331 4.3665 7.1208
Co 2.9291 6.4821 2.9297
Co 3.1254 4.5475 0.8490
Co 3.3012 2.4687 7.2978
Co 5.0060 6.6516 1.0433
Co 5.1819 0.3646 7.4922
Co 5.3781 2.2992 5.4115
Co 7.0741 0.1836 1.2204
Co 7.2630 2.1092 3.2958
Co 7.4648 4.1829 5.2328
Bi 1.0359 2.2724 1.0604
Bi 3.0991 0.1998 5.1948
Bi 5.2081 4.3826 3.1463
Bi 7.2713 6.4553 7.2807
O 0.6561 0.0864 1.2075
O 0.8282 1.9023 3.2148
O 0.9367 8.1858 4.9923
O 1.0057 4.3786 5.2740
O 1.0780 6.5195 3.1337
O 1.1531 6.2519 6.9230
O 1.2461 4.4737 0.6690
O 1.4242 2.4918 7.2229
O 2.7314 0.0175 3.0044
O 2.9388 6.3982 4.8160
O 3.0298 4.5574 2.7376
O 3.0924 4.3570 7.3395
O 3.1045 6.4414 1.0788
O 3.2272 2.6851 0.8467
O 3.2893 0.5773 7.3887
O 3.5018 2.3847 5.4105
O 4.8055 6.5676 2.9306
O 5.0180 4.7602 0.9524
O 5.0801 6.8680 7.4944
O 5.2027 2.2585 7.2623
O 5.2148 0.1741 1.0017
O 5.2774 0.3745 5.6035
O 5.3685 2.2153 3.5252
O 5.5758 4.2003 5.3367
O 6.8831 6.6747 1.1183
O 7.0612 0.2908 7.6721
O 7.1541 2.0690 1.4182
O 7.2292 2.3366 5.2074
O 7.3015 0.1957 3.0672
O 7.3706 4.0029 3.3489
O 7.4790 6.0852 5.1263
O 7.6511 4.2693 7.1337
```



Starting from DFT lattice parameters and positions (GGA+U), the X-ray powder pattern of CoBiO3 was computed for CuKα.
Intensities are scaled so that the largest is 100.

Main lines, most intense first (2θ from 10° to 80°):
2θ (°)  I_rel
33.09  100
59.49  33
23.14  29
33.40  26
47.30  20
32.51  20
23.32  17
69.40  16

Structure:
```
20
Lattice="5.5086 0.0000 0.0000 0.0000 7.6292 0.0000 0.0000 0.0000 5.3654" Properties=species:S:1:pos:R:3 pbc="T T T"
Co 0.0000 0.0000 0.0000
Co 0.0000 3.8146 0.0000
Co 2.7543 0.0000 2.6827
Co 2.7543 3.8146 2.6827
Bi 0.2976 1.9073 2.6286
Bi 2.4567 5.7219 5.3113
Bi 3.0520 1.9073 0.0541
Bi 5.2110 5.7219 2.7368
O 0.1293 5.7219 0.4470
O 1.1404 4.1318 3.7800
O 1.1404 7.3119 3.7800
O 1.6139 0.3172 1.0973
O 1.6139 3.4973 1.0973
O 2.6250 1.9073 3.1297
O 2.8837 5.7219 2.2357
O 3.8947 4.1318 4.2681
O 3.8947 7.3119 4.2681
O 4.3682 0.3172 1.5854
O 4.3682 3.4973 1.5854
O 5.3793 1.9073 4.9185
```



Starting from DFT lattice parameters and positions (GGA+U), the X-ray powder pattern of Co3BiO8 was computed for CuKα.
Intensities are scaled so that the largest is 100.

Main lines, most intense first (2θ from 10° to 80°):
2θ (°)  I_rel
18.98  100
43.51  38
36.07  36
33.78  22
21.36  19
38.51  16
49.61  14
60.24  12

Structure:
```
12
Lattice="2.8264 1.6318 5.2618 -2.8264 1.6318 5.2618 0.0000 -3.2636 5.2618" Properties=species:S:1:pos:R:3 pbc="T T T"
Co -1.4132 -0.8159 5.2618
Co -1.4132 0.8159 10.5235
Co 0.0000 1.6318 5.2618
Bi 0.0000 0.0000 7.8927
O 0.0000 -1.5305 6.3156
O -1.3255 0.7653 6.3156
O 0.0000 0.0000 4.3564
O -1.3255 -0.7653 9.4697
O 1.3255 0.7653 6.3156
O 0.0000 0.0000 11.4289
O 1.3255 -0.7653 9.4697
O 0.0000 1.5305 9.4697
```